[1]
Tm2B6Ru: calculated powder XRD pattern (Cu Kα (λ = 1.5418 Å)), based on DFT lattice parameters and positions (PBE).
Neutral-atom scattering factors, no anomalous dispersion.

Peak list (10 most intense, 2θ = 10–90°, by angle)
- 2θ 24.58, I 100
- 2θ 30.63, I 76
- 2θ 31.30, I 26
- 2θ 32.86, I 25
- 2θ 33.55, I 27
- 2θ 39.66, I 93
- 2θ 40.20, I 33
- 2θ 41.46, I 32
- 2θ 42.03, I 34
- 2θ 60.13, I 23

Crystal structure
Lattice parameters (Å, degrees): 9.0646 11.4312 3.6216 90.00 90.00 90.00
Element x y z (fractional)
Tm  0.0556  0.1272  0.0000
Tm  0.1784  0.4142  0.0000
Tm  0.3216  0.9142  0.0000
Tm  0.4444  0.6272  0.0000
Tm  0.5556  0.3728  0.0000
Tm  0.6784  0.0858  0.0000
Tm  0.8216  0.5858  0.0000
Tm  0.9444  0.8728  0.0000
B  0.0168  0.2871  0.5000
B  0.0540  0.5665  0.5000
B  0.1086  0.9702  0.5000
B  0.1321  0.8154  0.5000
B  0.2079  0.2339  0.5000
B  0.2492  0.5796  0.5000
B  0.2508  0.0796  0.5000
B  0.2921  0.7339  0.5000
B  0.3679  0.3154  0.5000
B  0.3914  0.4702  0.5000
B  0.4460  0.0665  0.5000
B  0.4832  0.7871  0.5000
B  0.5168  0.2129  0.5000
B  0.5540  0.9335  0.5000
B  0.6086  0.5298  0.5000
B  0.6321  0.6846  0.5000
B  0.7079  0.2661  0.5000
B  0.7492  0.9204  0.5000
B  0.7508  0.4204  0.5000
B  0.7921  0.7661  0.5000
B  0.8679  0.1846  0.5000
B  0.8914  0.0298  0.5000
B  0.9460  0.4335  0.5000
B  0.9832  0.7129  0.5000
Ru  0.1385  0.6791  0.0000
Ru  0.3615  0.1791  0.0000
Ru  0.6385  0.8209  0.0000
Ru  0.8615  0.3209  0.0000



[2]
U4B3Ru12: calculated powder XRD pattern (Cu Kα (λ = 1.5418 Å)), based on DFT lattice parameters and positions (PBE).
Neutral-atom scattering factors, no anomalous dispersion.

Peak list (10 most intense, 2θ = 10–90°, by angle)
- 2θ 21.38, I 9
- 2θ 30.65, I 10
- 2θ 37.67, I 100
- 2θ 43.55, I 35
- 2θ 44.23, I 16
- 2θ 63.29, I 12
- 2θ 63.82, I 21
- 2θ 76.06, I 26
- 2θ 77.02, I 11
- 2θ 80.45, I 11

Crystal structure
Lattice parameters (Å, degrees): 4.1560 4.1560 16.3821 90.00 90.00 90.00
Element x y z (fractional)
U  0.0000  0.0000  0.1163
U  0.0000  0.0000  0.3724
U  0.0000  0.0000  0.6276
U  0.0000  0.0000  0.8837
B  0.5000  0.5000  0.2399
B  0.5000  0.5000  0.5000
B  0.5000  0.5000  0.7601
Ru  0.0000  0.5000  0.0000
Ru  0.0000  0.5000  0.2484
Ru  0.0000  0.5000  0.5000
Ru  0.0000  0.5000  0.7516
Ru  0.5000  0.0000  0.0000
Ru  0.5000  0.0000  0.2484
Ru  0.5000  0.0000  0.5000
Ru  0.5000  0.0000  0.7516
Ru  0.5000  0.5000  0.1165
Ru  0.5000  0.5000  0.3721
Ru  0.5000  0.5000  0.6279
Ru  0.5000  0.5000  0.8835



[3]
UB4Ru4: calculated powder XRD pattern (Cu Kα (λ = 1.5418 Å)), based on DFT lattice parameters and positions (PBE).
Neutral-atom scattering factors, no anomalous dispersion.

Peak list (10 most intense, 2θ = 10–90°, by angle)
- 2θ 23.65, I 14
- 2θ 23.80, I 18
- 2θ 32.17, I 41
- 2θ 33.80, I 28
- 2θ 39.78, I 44
- 2θ 39.97, I 100
- 2θ 40.32, I 25
- 2θ 41.76, I 15
- 2θ 54.89, I 18
- 2θ 71.10, I 21

Crystal structure
Lattice parameters (Å, degrees): 9.1961 9.1961 9.1961 132.03 132.03 70.18
Element x y z (fractional)
U  0.1250  0.3750  0.7500
U  0.3750  0.1250  0.2500
U  0.6250  0.8750  0.7500
U  0.8750  0.6250  0.2500
B  0.0669  0.1272  0.2788
B  0.1272  0.3484  0.0603
B  0.1516  0.3728  0.4397
B  0.2119  0.9331  0.5603
B  0.2881  0.8484  0.7212
B  0.3484  0.7881  0.2212
B  0.3728  0.4331  0.2212
B  0.4331  0.7119  0.0603
B  0.5669  0.2881  0.9397
B  0.6272  0.5669  0.7788
B  0.6516  0.2119  0.7788
B  0.7119  0.1516  0.2788
B  0.7881  0.0669  0.4397
B  0.8484  0.6272  0.5603
B  0.8728  0.6516  0.9397
B  0.9331  0.8728  0.7212
Ru  0.0342  0.8233  0.9833
Ru  0.0508  0.0342  0.7108
Ru  0.1600  0.6767  0.7108
Ru  0.1767  0.6600  0.2108
Ru  0.3233  0.5342  0.4833
Ru  0.3400  0.0508  0.5167
Ru  0.4492  0.1600  0.9833
Ru  0.4658  0.4492  0.7892
Ru  0.5342  0.5508  0.2108
Ru  0.5508  0.8400  0.0167
Ru  0.6600  0.9492  0.4833
Ru  0.6767  0.4658  0.5167
Ru  0.8233  0.3400  0.7892
Ru  0.8400  0.3233  0.2892
Ru  0.9492  0.9658  0.2892
Ru  0.9658  0.1767  0.0167



[4]
UB4Ru: calculated powder XRD pattern (Cu Kα (λ = 1.5418 Å)), based on DFT lattice parameters and positions (PBE).
Neutral-atom scattering factors, no anomalous dispersion.

Peak list (10 most intense, 2θ = 10–90°, by angle)
- 2θ 24.32, I 16
- 2θ 25.22, I 59
- 2θ 31.02, I 86
- 2θ 35.32, I 15
- 2θ 40.39, I 100
- 2θ 46.24, I 16
- 2θ 51.78, I 13
- 2θ 61.60, I 26
- 2θ 62.39, I 12
- 2θ 68.40, I 18

Crystal structure
Lattice parameters (Å, degrees): 5.9534 5.9534 3.5312 90.00 90.00 104.12
Element x y z (fractional)
U  0.2000  0.8000  0.0000
U  0.8000  0.2000  0.0000
B  0.1158  0.4345  0.5000
B  0.1203  0.1203  0.5000
B  0.4073  0.5927  0.5000
B  0.4345  0.1158  0.5000
B  0.5655  0.8842  0.5000
B  0.5927  0.4073  0.5000
B  0.8797  0.8797  0.5000
B  0.8842  0.5655  0.5000
Ru  0.3135  0.3135  0.0000
Ru  0.6865  0.6865  0.0000



[5]
VB2Ru: calculated powder XRD pattern (Cu Kα (λ = 1.5418 Å)), based on DFT lattice parameters and positions (PBE).
Neutral-atom scattering factors, no anomalous dispersion.

Peak list (10 most intense, 2θ = 10–90°, by angle)
- 2θ 25.38, I 43
- 2θ 29.92, I 43
- 2θ 36.53, I 32
- 2θ 37.01, I 44
- 2θ 40.07, I 100
- 2θ 43.25, I 58
- 2θ 44.43, I 65
- 2θ 48.30, I 29
- 2θ 50.44, I 34
- 2θ 80.76, I 33

Crystal structure
Lattice parameters (Å, degrees): 2.9318 4.3383 5.9723 90.00 90.00 90.00
Element x y z (fractional)
V  0.0000  0.1315  0.0000
V  0.0000  0.8685  0.5000
B  0.0000  0.3532  0.6536
B  0.0000  0.6468  0.1536
B  0.5000  0.1432  0.7149
B  0.5000  0.8568  0.2149
Ru  0.5000  0.3576  0.3613
Ru  0.5000  0.6424  0.8613



[6]
B2RuW: calculated powder XRD pattern (Cu Kα (λ = 1.5418 Å)), based on DFT lattice parameters and positions (PBE).
Neutral-atom scattering factors, no anomalous dispersion.

Peak list (10 most intense, 2θ = 10–90°, by angle)
- 2θ 24.48, I 37
- 2θ 29.65, I 49
- 2θ 35.72, I 50
- 2θ 35.88, I 73
- 2θ 38.96, I 100
- 2θ 42.39, I 84
- 2θ 42.57, I 65
- 2θ 47.21, I 37
- 2θ 49.60, I 32
- 2θ 69.89, I 60

Crystal structure
Lattice parameters (Å, degrees): 2.9947 4.5594 6.0251 90.00 90.00 90.00
Element x y z (fractional)
B  0.0000  0.1329  0.0000
B  0.0000  0.8671  0.5000
B  0.5000  0.3346  0.0567
B  0.5000  0.6654  0.5567
Ru  0.5000  0.1277  0.7101
Ru  0.5000  0.8723  0.2101
W  0.0000  0.3787  0.3512
W  0.0000  0.6213  0.8512



[7]
YB2Ru2: calculated powder XRD pattern (Cu Kα (λ = 1.5418 Å)), based on DFT lattice parameters and positions (PBE).
Neutral-atom scattering factors, no anomalous dispersion.

Peak list (10 most intense, 2θ = 10–90°, by angle)
- 2θ 18.26, I 77
- 2θ 19.22, I 43
- 2θ 27.32, I 62
- 2θ 39.59, I 100
- 2θ 41.02, I 32
- 2θ 42.09, I 64
- 2θ 43.39, I 28
- 2θ 43.84, I 21
- 2θ 45.67, I 42
- 2θ 75.36, I 24

Crystal structure
Lattice parameters (Å, degrees): 9.7748 9.7748 9.7748 123.62 123.62 83.83
Element x y z (fractional)
Y  0.0000  0.0000  0.0000
Y  0.0000  0.0000  0.5000
Y  0.0000  0.5000  0.0000
Y  0.0000  0.5000  0.5000
Y  0.5000  0.0000  0.0000
Y  0.5000  0.0000  0.5000
Y  0.5000  0.5000  0.0000
Y  0.5000  0.5000  0.5000
B  0.0237  0.6696  0.3576
B  0.1661  0.3120  0.6424
B  0.1696  0.5237  0.8576
B  0.1880  0.3339  0.8576
B  0.3120  0.1696  0.1459
B  0.3304  0.1880  0.3541
B  0.3339  0.9763  0.1459
B  0.4763  0.8339  0.6459
B  0.5237  0.1661  0.3541
B  0.6661  0.0237  0.8541
B  0.6696  0.8120  0.6459
B  0.6880  0.8304  0.8541
B  0.8120  0.6661  0.1424
B  0.8304  0.4763  0.1424
B  0.8339  0.6880  0.3576
B  0.9763  0.3304  0.6424
Ru  0.0867  0.1865  0.9020
Ru  0.1847  0.0867  0.4002
Ru  0.1865  0.7845  0.0998
Ru  0.2155  0.8153  0.4020
Ru  0.2845  0.6865  0.5998
Ru  0.3135  0.4133  0.5980
Ru  0.3153  0.7155  0.9020
Ru  0.4133  0.3153  0.0998
Ru  0.5867  0.6847  0.9002
Ru  0.6847  0.2845  0.0980
Ru  0.6865  0.5867  0.4020
Ru  0.7155  0.3135  0.4002
Ru  0.7845  0.1847  0.5980
Ru  0.8135  0.2155  0.9002
Ru  0.8153  0.9133  0.5998
Ru  0.9133  0.8135  0.0980



[8]
YB2Ru: calculated powder XRD pattern (Cu Kα (λ = 1.5418 Å)), based on DFT lattice parameters and positions (PBE).
Neutral-atom scattering factors, no anomalous dispersion.

Peak list (10 most intense, 2θ = 10–90°, by angle)
- 2θ 28.05, I 25
- 2θ 31.93, I 21
- 2θ 33.65, I 62
- 2θ 34.65, I 23
- 2θ 36.22, I 78
- 2θ 37.51, I 100
- 2θ 44.36, I 22
- 2θ 48.70, I 19
- 2θ 62.73, I 22
- 2θ 74.73, I 23

Crystal structure
Lattice parameters (Å, degrees): 5.9245 5.3264 6.3627 90.00 90.00 90.00
Element x y z (fractional)
Y  0.0112  0.2500  0.1631
Y  0.4888  0.7500  0.6631
Y  0.5112  0.2500  0.3369
Y  0.9888  0.7500  0.8369
B  0.1302  0.5844  0.4615
B  0.1302  0.9156  0.4615
B  0.3698  0.0844  0.9615
B  0.3698  0.4156  0.9615
B  0.6302  0.5844  0.0385
B  0.6302  0.9156  0.0385
B  0.8698  0.0844  0.5385
B  0.8698  0.4156  0.5385
Ru  0.1813  0.2500  0.6816
Ru  0.3187  0.7500  0.1816
Ru  0.6813  0.2500  0.8184
Ru  0.8187  0.7500  0.3184



[9]
YB4Ru: calculated powder XRD pattern (Cu Kα (λ = 1.5418 Å)), based on DFT lattice parameters and positions (PBE).
Neutral-atom scattering factors, no anomalous dispersion.

Peak list (10 most intense, 2θ = 10–90°, by angle)
- 2θ 24.99, I 73
- 2θ 30.96, I 78
- 2θ 34.52, I 20
- 2θ 38.16, I 27
- 2θ 40.19, I 100
- 2θ 43.09, I 28
- 2θ 46.16, I 40
- 2θ 51.28, I 19
- 2θ 61.12, I 22
- 2θ 72.41, I 12

Crystal structure
Lattice parameters (Å, degrees): 5.9685 11.5450 3.5631 90.00 90.00 90.00
Element x y z (fractional)
Y  0.1297  0.1498  0.0000
Y  0.3703  0.6498  0.0000
Y  0.6297  0.3502  0.0000
Y  0.8703  0.8502  0.0000
B  0.0228  0.6918  0.5000
B  0.1120  0.5468  0.5000
B  0.1360  0.9697  0.5000
B  0.2100  0.8145  0.5000
B  0.2900  0.3145  0.5000
B  0.3640  0.4697  0.5000
B  0.3880  0.0468  0.5000
B  0.4772  0.1918  0.5000
B  0.5228  0.8082  0.5000
B  0.6120  0.9532  0.5000
B  0.6360  0.5303  0.5000
B  0.7100  0.6855  0.5000
B  0.7900  0.1855  0.5000
B  0.8640  0.0303  0.5000
B  0.8880  0.4532  0.5000
B  0.9772  0.3082  0.5000
Ru  0.1407  0.4075  0.0000
Ru  0.3593  0.9075  0.0000
Ru  0.6407  0.0925  0.0000
Ru  0.8593  0.5925  0.0000



[10]
YB4Ru4: calculated powder XRD pattern (Cu Kα (λ = 1.5418 Å)), based on DFT lattice parameters and positions (PBE).
Neutral-atom scattering factors, no anomalous dispersion.

Peak list (10 most intense, 2θ = 10–90°, by angle)
- 2θ 32.10, I 96
- 2θ 33.76, I 15
- 2θ 39.73, I 41
- 2θ 39.86, I 100
- 2θ 40.25, I 59
- 2θ 43.96, I 18
- 2θ 47.32, I 14
- 2θ 48.57, I 20
- 2θ 64.53, I 24
- 2θ 70.95, I 31

Crystal structure
Lattice parameters (Å, degrees): 9.2097 9.2097 9.2097 131.96 131.96 70.29
Element x y z (fractional)
Y  0.1250  0.3750  0.7500
Y  0.3750  0.1250  0.2500
Y  0.6250  0.8750  0.7500
Y  0.8750  0.6250  0.2500
B  0.0660  0.1247  0.2776
B  0.1247  0.3471  0.0587
B  0.1529  0.3753  0.4413
B  0.2116  0.9340  0.5587
B  0.2884  0.8471  0.7224
B  0.3471  0.7884  0.2224
B  0.3753  0.4340  0.2224
B  0.4340  0.7116  0.0587
B  0.5660  0.2884  0.9413
B  0.6247  0.5660  0.7776
B  0.6529  0.2116  0.7776
B  0.7116  0.1529  0.2776
B  0.7884  0.0660  0.4413
B  0.8471  0.6247  0.5587
B  0.8753  0.6529  0.9413
B  0.9340  0.8753  0.7224
Ru  0.0388  0.8213  0.9865
Ru  0.0523  0.0388  0.7175
Ru  0.1652  0.6787  0.7175
Ru  0.1787  0.6652  0.2175
Ru  0.3213  0.5388  0.4865
Ru  0.3348  0.0523  0.5135
Ru  0.4477  0.1652  0.9865
Ru  0.4612  0.4477  0.7825
Ru  0.5388  0.5523  0.2175
Ru  0.5523  0.8348  0.0135
Ru  0.6652  0.9477  0.4865
Ru  0.6787  0.4612  0.5135
Ru  0.8213  0.3348  0.7825
Ru  0.8348  0.3213  0.2825
Ru  0.9477  0.9612  0.2825
Ru  0.9612  0.1787  0.0135